This entry pairs a crystal structure of LiZr2HgO with its computed X-ray diffraction stick pattern. Radiation: Cu Kα (weighted mean of Kα1 and Kα2). Structure: a cell relaxed with GGA-PBE.
Lines closer than 0.1° are merged.

Peak list (6 most intense, 5 to 70 degrees two-theta, in order of rising 2θ)
19.86°, intensity 46, hkl 1 0 0
29.33°, intensity 53, hkl 1 0 1
35.67°, intensity 100, hkl 1 1 1
40.35°, intensity 42, hkl 2 0 0
50.65°, intensity 23, hkl 2 1 1
60.83°, intensity 25, hkl 2 0 2

Structure:
Lattice parameters (Å, degrees): 4.471 4.471 4.160 90.00 90.00 90.00
Space group P4/mmm (No. 123)
Inequivalent atoms, fractional coordinates:
Li 0.000 0.000 0.000 (multiplicity 1)
Zr 0.000 0.500 0.500 (multiplicity 2)
Hg 0.500 0.500 0.000 (multiplicity 1)
O 0.000 0.000 0.500 (multiplicity 1)


This entry pairs a crystal structure of Li2HgOs with its computed X-ray diffraction stick pattern. Radiation: Cu Kα (weighted mean of Kα1 and Kα2). Structure: a cell relaxed with GGA-PBE.
Lines closer than 0.1° are merged.

Peak list (6 most intense, 5 to 70 degrees two-theta, in order of rising 2θ)
19.49°, intensity 100, hkl 2 0 0
36.38°, intensity 22, hkl 0 0 2
37.96°, intensity 38, hkl 1 1 -1
38.82°, intensity 20, hkl 2 0 -2
39.39°, intensity 38, hkl 1 1 1
46.41°, intensity 24, hkl 3 1 -1

Structure:
Lattice parameters (Å, degrees): 9.209 2.757 4.995 90.00 98.53 90.00
Space group C2/m (No. 12)
Inequivalent atoms, fractional coordinates:
Li 0.248 0.000 0.218 (multiplicity 4)
Hg 0.000 0.000 0.500 (multiplicity 2)
Os 0.000 0.500 0.000 (multiplicity 2)


This entry pairs a crystal structure of LiHg2PS4 with its computed X-ray diffraction stick pattern. Radiation: Cu Kα (weighted mean of Kα1 and Kα2). Structure: a cell relaxed with GGA-PBE.
Lines closer than 0.1° are merged.

Peak list (6 most intense, 5 to 70 degrees two-theta, in order of rising 2θ)
10.08°, intensity 100, hkl 0 1 0
17.61°, intensity 71, hkl 0 1 1
19.15°, intensity 34, hkl 1 0 1
24.93°, intensity 67, hkl 0 2 1
27.28°, intensity 31, hkl 2 1 0
29.03°, intensity 55, hkl 0 0 2

Structure:
Lattice parameters (Å, degrees): 7.047 8.776 6.151 90.00 90.00 90.00
Space group Pmn2_1 (No. 31)
Inequivalent atoms, fractional coordinates:
Li 0.000 0.076 0.000 (multiplicity 2)
Hg 0.189 0.361 0.553 (multiplicity 4)
P 0.000 0.796 0.493 (multiplicity 2)
S 0.000 0.017 0.577 (multiplicity 2)
S 0.000 0.786 0.142 (multiplicity 2)
S 0.250 0.308 0.084 (multiplicity 4)


This entry pairs a crystal structure of Li4Hg5Pb2 with its computed X-ray diffraction stick pattern. Radiation: Cu Kα (weighted mean of Kα1 and Kα2). Structure: a cell relaxed with GGA-PBE.
Lines closer than 0.1° are merged.

Peak list (6 most intense, 5 to 70 degrees two-theta, in order of rising 2θ)
24.15°, intensity 89, hkl 0 2 0
29.02°, intensity 100, hkl 1 0 1
29.57°, intensity 94, hkl 1 0 -2
36.28°, intensity 69, hkl 0 1 -4
36.80°, intensity 63, hkl 1 -2 1
37.31°, intensity 97, hkl 1 2 -2

Structure:
Lattice parameters (Å, degrees): 3.428 7.444 10.210 97.92 98.34 90.28
Space group P-1 (No. 2)
Inequivalent atoms, fractional coordinates:
Li 0.043 0.294 0.104 (multiplicity 2)
Li 0.289 0.199 0.561 (multiplicity 2)
Hg 0.149 0.024 0.298 (multiplicity 2)
Hg 0.185 0.453 0.370 (multiplicity 2)
Hg 0.500 0.000 0.000 (multiplicity 1)
Pb 0.432 0.354 0.860 (multiplicity 2)


This entry pairs a crystal structure of Li8HgPb3 with its computed X-ray diffraction stick pattern. Radiation: Cu Kα (weighted mean of Kα1 and Kα2). Structure: a cell relaxed with GGA-PBE.
Lines closer than 0.1° are merged.

Peak list (6 most intense, 5 to 70 degrees two-theta, in order of rising 2θ)
21.00°, intensity 100, hkl 0 2 2
21.68°, intensity 45, hkl 0 0 4
30.45°, intensity 44, hkl 2 0 2
33.80°, intensity 29, hkl 2 2 0
37.62°, intensity 27, hkl 0 2 6
40.51°, intensity 43, hkl 2 2 4

Structure:
Lattice parameters (Å, degrees): 6.287 9.880 16.395 90.00 90.00 90.00
Space group Fmmm (No. 69)
Inequivalent atoms, fractional coordinates:
Li 0.000 0.249 0.095 (multiplicity 16)
Li 0.243 0.000 0.155 (multiplicity 16)
Hg 0.000 0.000 0.500 (multiplicity 4)
Pb 0.000 0.000 0.000 (multiplicity 4)
Pb 0.250 0.250 0.250 (multiplicity 8)


This entry pairs a crystal structure of LiHg3Pb with its computed X-ray diffraction stick pattern. Radiation: Cu Kα (weighted mean of Kα1 and Kα2). Structure: a cell relaxed with GGA-PBE.
Lines closer than 0.1° are merged.

Peak list (6 most intense, 5 to 70 degrees two-theta, in order of rising 2θ)
29.11°, intensity 54, hkl 2 1 -2
29.23°, intensity 54, hkl 2 1 1
31.54°, intensity 53, hkl 0 2 1
34.92°, intensity 100, hkl 2 1 2
36.81°, intensity 56, hkl 1 0 -4
37.00°, intensity 61, hkl 2 2 -1

Structure:
Lattice parameters (Å, degrees): 8.637 5.945 9.783 90.00 103.08 90.00
Space group P2_1/c (No. 14)
Inequivalent atoms, fractional coordinates:
Li 0.061 0.167 0.360 (multiplicity 4)
Hg 0.118 0.667 0.436 (multiplicity 4)
Hg 0.209 0.105 0.658 (multiplicity 4)
Hg 0.402 0.211 0.963 (multiplicity 4)
Pb 0.363 0.625 0.749 (multiplicity 4)


This entry pairs a crystal structure of Li5Hg2Pb2 with its computed X-ray diffraction stick pattern. Radiation: Cu Kα (weighted mean of Kα1 and Kα2). Structure: a cell relaxed with GGA-PBE.
Lines closer than 0.1° are merged.

Peak list (6 most intense, 5 to 70 degrees two-theta, in order of rising 2θ)
25.14°, intensity 79, hkl 4 0 0
25.49°, intensity 100, hkl 3 1 1
26.84°, intensity 87, hkl 2 2 0
27.85°, intensity 51, hkl 2 0 2
28.25°, intensity 47, hkl 1 1 2
50.25°, intensity 68, hkl 2 4 0

Structure:
Lattice parameters (Å, degrees): 14.167 7.514 7.185 90.00 90.00 90.00
Space group Cmce (No. 64)
Inequivalent atoms, fractional coordinates:
Li 0.000 0.000 0.000 (multiplicity 4)
Li 0.129 0.174 0.325 (multiplicity 16)
Hg 0.000 0.143 0.637 (multiplicity 8)
Pb 0.218 0.000 0.000 (multiplicity 8)


This entry pairs a crystal structure of Li6Hg6Pb with its computed X-ray diffraction stick pattern. Radiation: Cu Kα (weighted mean of Kα1 and Kα2). Structure: a cell relaxed with GGA-PBE.
Lines closer than 0.1° are merged.

Peak list (6 most intense, 5 to 70 degrees two-theta, in order of rising 2θ)
19.07°, intensity 70, hkl 0 0 2
25.76°, intensity 74, hkl 1 1 2
34.73°, intensity 100, hkl 2 2 0
35.76°, intensity 36, hkl 2 0 2
39.92°, intensity 71, hkl 2 2 2
52.96°, intensity 60, hkl 2 2 4

Structure:
Lattice parameters (Å, degrees): 5.956 10.347 9.309 90.00 90.00 90.00
Space group Cmmm (No. 65)
Inequivalent atoms, fractional coordinates:
Li 0.000 0.000 0.172 (multiplicity 4)
Li 0.000 0.334 0.000 (multiplicity 4)
Li 0.000 0.334 0.500 (multiplicity 4)
Hg 0.000 0.500 0.247 (multiplicity 4)
Hg 0.250 0.250 0.247 (multiplicity 8)
Pb 0.000 0.000 0.500 (multiplicity 2)